# 1
PmSbN2O: calculated powder diffractogram (λ = 1.5418 Å (Cu Kα)), based on DFT lattice parameters and positions (GGA-PBE).

Top 12 peaks for 10° ≤ 2θ ≤ 90°, by angle:
26.03°, intensity 4
31.07°, intensity 100
40.44°, intensity 5
44.51°, intensity 25
48.66°, intensity 4
55.31°, intensity 30
61.60°, intensity 11
64.86°, intensity 9
73.63°, intensity 8
79.16°, intensity 5
82.07°, intensity 4
87.46°, intensity 5

Crystal structure
abc: 5.7505 5.7505 14.1379
angles: 90.00 90.00 120.00
Space group P6_3/mmc (No. 194)
Asymmetric unit:
1 Pm 0.0000 0.0000 0.2500 x2
2 Pm 0.3333 0.6667 0.1134 x4
3 Sb 0.0000 0.0000 0.0000 x2
4 Sb 0.3333 0.6667 0.6445 x4
5 N 0.1526 0.3051 0.5952 x12
6 O 0.0056 0.5028 0.7500 x6

# 2
ScCdGaFe: calculated powder diffractogram (λ = 1.5418 Å (Cu Kα)), based on DFT lattice parameters and positions (GGA-PBE).

Top 12 peaks for 10° ≤ 2θ ≤ 90°, by angle:
23.76°, intensity 6
27.50°, intensity 11
39.28°, intensity 100
46.43°, intensity 3
48.62°, intensity 3
56.77°, intensity 16
62.40°, intensity 1
64.21°, intensity 4
71.21°, intensity 31
76.27°, intensity 1
84.49°, intensity 10
89.35°, intensity 1

Crystal structure
abc: 6.487 6.487 6.487
angles: 90.00 90.00 90.00
Space group F-43m (No. 216)
Asymmetric unit:
1 Sc 0.000 0.000 0.000 x4
2 Cd 0.250 0.250 0.750 x4
3 Ga 0.250 0.250 0.250 x4
4 Fe 0.000 0.000 0.500 x4

# 3
Lu4NiGeN2: calculated powder diffractogram (λ = 1.5418 Å (Cu Kα)), based on DFT lattice parameters and positions (GGA-PBE).

Top 12 peaks for 10° ≤ 2θ ≤ 90°, by angle:
25.87°, intensity 10
30.51°, intensity 26
31.21°, intensity 16
36.37°, intensity 100
39.24°, intensity 12
40.42°, intensity 9
50.50°, intensity 12
54.22°, intensity 25
56.32°, intensity 8
67.06°, intensity 17
68.95°, intensity 14
69.26°, intensity 7

Crystal structure
abc: 3.3832 3.3832 13.7754
angles: 90.00 90.00 120.00
Space group P-6m2 (No. 187)
Asymmetric unit:
1 Lu 0.0000 0.0000 0.1402 x2
2 Lu 0.3333 0.6667 0.3355 x2
3 Ni 0.3333 0.6667 0.0000 x1
4 Ge 0.0000 0.0000 0.5000 x1
5 N 0.6667 0.3333 0.2488 x2

# 4
YHfO3: calculated powder diffractogram (λ = 1.5418 Å (Cu Kα)), based on DFT lattice parameters and positions (GGA-PBE).

Top 12 peaks for 10° ≤ 2θ ≤ 90°, by angle:
17.87°, intensity 24
22.13°, intensity 22
30.46°, intensity 87
32.52°, intensity 100
37.34°, intensity 30
45.15°, intensity 39
49.44°, intensity 29
56.74°, intensity 33
58.03°, intensity 28
65.86°, intensity 17
68.12°, intensity 18
76.41°, intensity 12

Crystal structure
abc: 5.5074 5.5074 14.8904
angles: 90.00 90.00 120.00
Space group R-3 (No. 148, hexagonal axes)
Asymmetric unit:
1 Y 0.0000 0.0000 0.1238 x6
2 Hf 0.0000 0.0000 0.3460 x6
3 O 0.0192 0.5893 0.9117 x18

# 5
Tm2B5: calculated powder diffractogram (λ = 1.5418 Å (Cu Kα)), based on DFT lattice parameters and positions (GGA-PBE).

Top 12 peaks for 10° ≤ 2θ ≤ 90°, by angle:
23.59°, intensity 61
26.75°, intensity 57
30.69°, intensity 75
35.96°, intensity 60
39.07°, intensity 100
48.27°, intensity 15
49.76°, intensity 24
55.78°, intensity 31
56.04°, intensity 15
58.29°, intensity 25
69.12°, intensity 18
71.85°, intensity 16

Crystal structure
abc: 3.239 6.665 7.542
angles: 90.00 90.00 90.00
Space group Immm (No. 71)
Asymmetric unit:
1 Tm 0.000 0.000 0.246 x4
2 B 0.000 0.263 0.500 x4
3 B 0.000 0.363 0.000 x4
4 B 0.000 0.500 0.500 x2

# 6
RbAlCoS3: calculated powder diffractogram (λ = 1.5418 Å (Cu Kα)), based on DFT lattice parameters and positions (GGA-PBE).

Top 12 peaks for 10° ≤ 2θ ≤ 90°, by angle:
10.59°, intensity 41
11.85°, intensity 36
17.60°, intensity 40
23.83°, intensity 27
29.77°, intensity 36
32.11°, intensity 100
35.71°, intensity 25
37.67°, intensity 21
38.73°, intensity 26
51.18°, intensity 20
53.21°, intensity 20
53.63°, intensity 23

Crystal structure
abc: 14.939 3.569 10.080
angles: 90.00 90.00 90.00
Space group Pnma (No. 62)
Asymmetric unit:
1 Rb 0.235 0.250 0.042 x4
2 Al 0.023 0.250 0.365 x4
3 Co 0.012 0.750 0.086 x4
4 S 0.072 0.750 0.888 x4
5 S 0.082 0.250 0.580 x4
6 S 0.109 0.750 0.265 x4